No. 1
# Y5Hg2Ru2
Simulated powder diffractogram, λ = 1.5418 Å (Cu Kα). Input: a DFT-relaxed cell (GGA-PBE, Alexandria).

Atomic structure:
a = 8.8939 Å, b = 8.8939 Å, c = 7.5720 Å
α = 90.00°, β = 90.00°, γ = 49.20°
Element x y z (fractional)
Y1 0.0000 0.0000 0.0000
Y2 0.0554 0.6972 0.6790
Y3 0.1972 0.5554 0.1790
Y4 0.3028 0.9446 0.6790
Y5 0.4446 0.8028 0.1790
Y6 0.5000 0.5000 0.5000
Y7 0.5554 0.1972 0.8210
Y8 0.6972 0.0554 0.3210
Y9 0.8028 0.4446 0.8210
Y10 0.9446 0.3028 0.3210
Hg1 0.2192 0.2192 0.0000
Hg2 0.2808 0.2808 0.5000
Hg3 0.7192 0.7192 0.5000
Hg4 0.7808 0.7808 0.0000
Ru1 0.1178 0.8822 0.3775
Ru2 0.3822 0.6178 0.8775
Ru3 0.6178 0.3822 0.1225
Ru4 0.8822 0.1178 0.6225

The 12 most intense peaks (5° ≤ 2θ ≤ 70°), in order of rising 2θ:
2θ (°), intensity
23.53, 38
25.99, 21
31.30, 35
32.41, 100
32.80, 60
33.87, 57
34.93, 41
38.08, 29
38.78, 26
42.70, 31
59.69, 21
64.93, 23


No. 2
# YHgRu2
Simulated powder diffractogram, λ = 1.5418 Å (Cu Kα). Input: a DFT-relaxed cell (GGA-PBE, Alexandria).

Atomic structure:
a = 2.9842 Å, b = 3.6741 Å, c = 7.0217 Å
α = 90.00°, β = 90.00°, γ = 90.00°
Element x y z (fractional)
Y1 0.0000 0.0000 0.0000
Hg1 0.5000 0.5000 0.3116
Ru1 0.0000 0.0000 0.5759
Ru2 0.5000 0.5000 0.7247

The 12 most intense peaks (5° ≤ 2θ ≤ 70°), in order of rising 2θ:
2θ (°), intensity
12.61, 28
27.40, 26
32.60, 17
35.36, 100
38.46, 21
38.88, 100
39.64, 73
49.63, 25
55.84, 29
62.22, 12
65.30, 33
66.87, 13


No. 3
# Y4Hg3Ru
Simulated powder diffractogram, λ = 1.5418 Å (Cu Kα). Input: a DFT-relaxed cell (GGA-PBE, Alexandria).

Atomic structure:
a = 3.5778 Å, b = 3.5778 Å, c = 15.2098 Å
α = 90.00°, β = 90.00°, γ = 90.00°
Element x y z (fractional)
Y1 0.0000 0.0000 0.1071
Y2 0.0000 0.0000 0.3712
Y3 0.0000 0.0000 0.6288
Y4 0.0000 0.0000 0.8929
Hg1 0.5000 0.5000 0.2432
Hg2 0.5000 0.5000 0.5000
Hg3 0.5000 0.5000 0.7568
Ru1 0.5000 0.5000 0.0000

The 12 most intense peaks (5° ≤ 2θ ≤ 70°), in order of rising 2θ:
2θ (°), intensity
5.81, 4
23.39, 7
24.89, 12
30.58, 5
34.42, 100
35.48, 49
42.94, 7
47.84, 9
51.05, 18
54.67, 4
60.96, 17
63.03, 35


Which formula does entry 2 have? YHgRu2